1.
Structure and calculated X-ray diffraction stick pattern of Dy6YTl4 (the PBE geometry in Alexandria; Cu Ka).

Structure:
Cell: 10.093 10.093 3.719 Å, 90.00 90.00 120.00°
Fractional positions:
Dy (0.191, 0.382, 0.000)
Dy (0.191, 0.809, 0.000)
Dy (0.540, 0.081, 0.500)
Dy (0.540, 0.460, 0.500)
Dy (0.618, 0.809, 0.000)
Dy (0.919, 0.460, 0.500)
Y (0.000, 0.000, 0.500)
Tl (0.320, 0.160, 0.000)
Tl (0.333, 0.667, 0.500)
Tl (0.840, 0.160, 0.000)
Tl (0.840, 0.680, 0.000)

Main lines, sorted by position (10 to 90 degrees two-theta):
2θ/deg	d_spacing	I/Imax
20.32	4.370	21
26.04	3.422	20
29.85	2.994	44
30.69	2.913	47
31.59	2.832	100
35.58	2.523	94
36.38	2.470	91
48.99	1.859	22
58.33	1.582	26
62.00	1.497	38


2.
Structure and calculated X-ray diffraction stick pattern of Dy2Y3Tl2 (the PBE geometry in Alexandria; Cu Ka).

Structure:
Cell: 9.372 5.414 8.641 Å, 90.00 111.24 90.00°
Fractional positions:
Dy (0.075, 0.000, 0.225)
Dy (0.425, 0.500, 0.775)
Dy (0.575, 0.500, 0.225)
Dy (0.925, 0.000, 0.775)
Y (0.000, 0.500, 0.500)
Y (0.154, 0.500, 0.961)
Y (0.346, 0.000, 0.039)
Y (0.500, 0.000, 0.500)
Y (0.654, 0.000, 0.961)
Y (0.846, 0.500, 0.039)
Tl (0.217, 0.000, 0.651)
Tl (0.283, 0.500, 0.349)
Tl (0.717, 0.500, 0.651)
Tl (0.783, 0.000, 0.349)

Main lines, sorted by position (10 to 90 degrees two-theta):
2θ/deg	d_spacing	I/Imax
19.29	4.602	11
32.21	2.779	100
33.10	2.706	98
46.86	1.939	35
56.85	1.620	17
58.56	1.576	36
59.13	1.562	19
69.46	1.353	11
77.16	1.236	14
78.64	1.217	15


3.
Structure and calculated X-ray diffraction stick pattern of DyYTlZn (the PBE geometry in Alexandria; Cu Ka).

Structure:
Cell: 3.672 3.672 7.420 Å, 90.00 90.00 90.00°
Fractional positions:
Dy (0.000, 0.000, 0.000)
Y (0.000, 0.000, 0.458)
Tl (0.500, 0.500, 0.730)
Zn (0.500, 0.500, 0.228)

Main lines, sorted by position (10 to 90 degrees two-theta):
2θ/deg	d_spacing	I/Imax
11.93	7.420	15
27.09	3.291	21
34.36	2.610	100
34.54	2.597	51
49.11	1.855	8
49.65	1.836	18
61.43	1.509	17
61.78	1.502	36
72.42	1.305	10
83.19	1.161	8


Please write out number 3 again, unchanged.
Structure and calculated X-ray diffraction stick pattern of DyYTlZn (the PBE geometry in Alexandria; Cu Ka).

Structure:
Cell: 3.672 3.672 7.420 Å, 90.00 90.00 90.00°
Fractional positions:
Dy (0.000, 0.000, 0.000)
Y (0.000, 0.000, 0.458)
Tl (0.500, 0.500, 0.730)
Zn (0.500, 0.500, 0.228)

Main lines, sorted by position (10 to 90 degrees two-theta):
2θ/deg	d_spacing	I/Imax
11.93	7.420	15
27.09	3.291	21
34.36	2.610	100
34.54	2.597	51
49.11	1.855	8
49.65	1.836	18
61.43	1.509	17
61.78	1.502	36
72.42	1.305	10
83.19	1.161	8